# 1
Ba6Tl3Au: simulated X-ray powder pattern (Cu Kα X-rays), based on a PBE-relaxed structure.
Kinematic intensities with the Lorentz-polarization factor, no thermal factor.

```
Ba6Tl3Au
1.0
8.534 0.000 0.000
0.000 9.505 0.000
-6.802 0.000 11.759
Ba Tl Au
12 6 2
Cartesian
-1.040 0.528 2.985 Ba
-4.441 4.225 8.864 Ba
1.388 6.569 0.863 Ba
-2.013 7.688 6.743 Ba
2.865 1.541 0.737 Ba
-0.536 3.211 6.616 Ba
2.267 6.293 5.143 Ba
-1.134 7.964 11.022 Ba
3.745 1.816 5.016 Ba
0.344 2.936 10.896 Ba
6.173 5.280 2.895 Ba
2.771 8.977 8.774 Ba
-2.485 1.131 8.900 Tl
0.916 3.621 3.020 Tl
0.866 0.000 5.879 Tl
4.267 4.752 0.000 Tl
0.816 5.884 8.739 Tl
4.217 8.373 2.859 Tl
0.000 0.000 0.000 Au
-3.401 4.752 5.879 Au
```

Main lines, in order of rising 2θ (10 to 90 degrees two-theta):
| index | Position (°2θ) | intensity |
| --- | --- | --- |
| 1 1 1 | 19.5 | 47 |
| 1 1 -3 | 21.8 | 54 |
| 2 1 -1 | 23.3 | 51 |
| 2 1 -3 | 25.2 | 37 |
| 1 2 1 | 25.4 | 75 |
| 1 3 -1 | 30.1 | 100 |
| 0 0 4 | 30.4 | 42 |
| 2 2 0 | 30.7 | 59 |
| 3 1 -1 | 34.6 | 71 |
| 3 1 -5 | 38.6 | 42 |



# 2
Sm2SbS: simulated X-ray powder pattern (Cu Kα X-rays), based on a PBE-relaxed structure.
Kinematic intensities with the Lorentz-polarization factor, no thermal factor.

```
Sm2SbS
1.0
4.248 0.000 0.000
-2.124 3.679 0.000
0.000 0.000 20.725
Sm Sb S
6 3 3
Cartesian
0.000 0.000 4.632 Sm
0.000 0.000 16.093 Sm
0.000 2.453 8.452 Sm
0.000 2.453 19.223 Sm
2.124 1.226 1.501 Sm
2.124 1.226 12.273 Sm
0.000 0.000 10.362 Sb
0.000 2.453 14.193 Sb
2.124 1.226 6.531 Sb
0.000 0.000 0.000 S
0.000 2.453 3.077 S
2.124 1.226 17.648 S
```

Main lines, in order of rising 2θ (10 to 90 degrees two-theta):
| index | Position (°2θ) | intensity |
| --- | --- | --- |
| 0 1 2 | 25.7 | 19 |
| 1 0 3 | 27.5 | 22 |
| 1 0 4 | 29.8 | 100 |
| 0 1 7 | 39.1 | 17 |
| 1 1 0 | 42.6 | 44 |
| 0 1 8 | 42.7 | 21 |
| 0 2 4 | 52.8 | 20 |
| 1 1 11 | 66.3 | 10 |
| 2 1 4 | 70.1 | 17 |
| 3 0 0 | 77.9 | 14 |